# Pr2Tl4S5
Theoretical XRD peak list, copper Kα. Input: a DFT-relaxed cell (GGA-PBE, Alexandria).

Main lines, sorted by position (15 to 90 degrees two-theta):
- d 4.032, rel. 38
- d 3.599, rel. 32
- d 3.460, rel. 44
- d 3.209, rel. 100
- d 2.454, rel. 33
- d 2.120, rel. 47
- d 2.068, rel. 28
- d 1.876, rel. 29

Structure:
```
11
Lattice="2.1199 1.2239 24.1946 -2.1199 1.2239 24.1946 0.0000 -2.4479 24.1946" Properties=species:S:1:pos:R:3 pbc="T T T"
Pr 0.0000 0.0000 10.2678
Pr 0.0000 0.0000 62.3160
Tl 0.0000 0.0000 22.6345
Tl 0.0000 0.0000 29.7862
Tl 0.0000 0.0000 42.7976
Tl 0.0000 0.0000 49.9492
S 0.0000 0.0000 15.2016
S 0.0000 0.0000 27.2147
S 0.0000 0.0000 36.2919
S 0.0000 0.0000 45.3690
S 0.0000 0.0000 57.3822
```

# Cs2DyRe2N6
Theoretical XRD peak list, copper Kα. Input: a DFT-relaxed cell (GGA-PBE, Alexandria).

Main lines, sorted by position (15 to 90 degrees two-theta):
- d 3.231, rel. 100
- d 3.143, rel. 60
- d 2.253, rel. 20
- d 1.866, rel. 21
- d 1.848, rel. 24
- d 1.767, rel. 26
- d 1.616, rel. 16
- d 1.221, rel. 15

Structure:
```
11
Lattice="3.2314 1.8657 6.3320 -3.2314 1.8657 6.3320 0.0000 -3.7313 6.3320" Properties=species:S:1:pos:R:3 pbc="T T T"
Cs 0.0000 0.0000 4.2317
Cs 0.0000 0.0000 14.7644
Dy 0.0000 0.0000 0.0000
Re 0.0000 0.0000 8.1276
Re 0.0000 0.0000 10.8684
N 0.0000 -1.7322 7.6671
N -1.5001 0.8661 7.6671
N -1.5002 -0.8661 11.3289
N 1.5002 0.8661 7.6671
N 1.5002 -0.8661 11.3289
N 0.0000 1.7322 11.3289
```